Record 1
Starting from a DFT-relaxed cell (PBE, the Materials Project), the powder X-ray diffraction pattern of ScAl3 was simulated for a wavelength of 1.5418 Å.

Peak list (10 most intense, 10 to 80 degrees two-theta, in order of falling intensity)
37.9 deg, I 100
44.1 deg, I 48
77.0 deg, I 34
64.1 deg, I 30
21.6 deg, I 7
30.8 deg, I 5
49.6 deg, I 2
54.7 deg, I 2
68.5 deg, I 1
72.8 deg, I 1

Cell and atoms:
Unit cell a=4.107 b=4.107 c=4.107 alpha=90.00 beta=90.00 gamma=90.00
Space group Pm-3m (No. 221)
One atom of each set of equivalent atoms:
Sc (0.000, 0.000, 0.000) [1 per cell]
Al (0.000, 0.500, 0.500) [3 per cell]

Record 2
Starting from a DFT-relaxed cell (PBE, the Materials Project), the powder X-ray diffraction pattern of Mg3SbN was simulated for a wavelength of 1.5418 Å.

Peak list (12 most intense, 10 to 80 degrees two-theta, in order of falling intensity)
35.5 deg, I 100
28.8 deg, I 92
41.2 deg, I 64
20.3 deg, I 57
59.7 deg, I 41
71.5 deg, I 38
51.1 deg, I 35
46.4 deg, I 28
67.7 deg, I 15
63.8 deg, I 14
75.2 deg, I 13
78.8 deg, I 6

Cell and atoms:
Unit cell a=4.378 b=4.378 c=4.378 alpha=90.00 beta=90.00 gamma=90.00
Space group Pm-3m (No. 221)
One atom of each set of equivalent atoms:
Mg (0.000, 0.000, 0.500) [3 per cell]
Sb (0.500, 0.500, 0.500) [1 per cell]
N (0.000, 0.000, 0.000) [1 per cell]

Record 3
Starting from a DFT-relaxed cell (PBE, the Materials Project), the powder X-ray diffraction pattern of Ga3Pt2 was simulated for a wavelength of 1.5418 Å.

Peak list (12 most intense, 10 to 80 degrees two-theta, in order of falling intensity)
41.7 deg, I 100
42.1 deg, I 86
29.3 deg, I 44
23.9 deg, I 38
76.7 deg, I 33
60.8 deg, I 33
16.6 deg, I 25
77.0 deg, I 15
75.8 deg, I 15
45.6 deg, I 12
52.1 deg, I 9
69.2 deg, I 8

Cell and atoms:
Unit cell a=4.2906 b=4.2906 c=5.3311 alpha=90.00 beta=90.00 gamma=120.00
Space group P-3m1 (No. 164)
One atom of each set of equivalent atoms:
Ga (0.0000, 0.0000, 0.0000) [1 per cell]
Ga (0.3333, 0.6667, 0.6436) [2 per cell]
Pt (0.3333, 0.6667, 0.1657) [2 per cell]

Record 4
Starting from a DFT-relaxed cell (PBE, the Materials Project), the powder X-ray diffraction pattern of ThMgAu2 was simulated for a wavelength of 1.5418 Å.

Peak list (12 most intense, 10 to 80 degrees two-theta, in order of falling intensity)
35.6 deg, I 100
63.9 deg, I 37
21.6 deg, I 21
51.2 deg, I 18
42.0 deg, I 12
75.3 deg, I 12
24.9 deg, I 6
56.1 deg, I 5
79.4 deg, I 4
68.2 deg, I 4
57.7 deg, I 3
43.9 deg, I 2

Cell and atoms:
Unit cell a=7.141 b=7.141 c=7.141 alpha=90.00 beta=90.00 gamma=90.00
Space group Fm-3m (No. 225)
One atom of each set of equivalent atoms:
Th (0.000, 0.000, 0.000) [4 per cell]
Mg (0.000, 0.000, 0.500) [4 per cell]
Au (0.250, 0.250, 0.250) [8 per cell]

Record 5
Starting from a DFT-relaxed cell (PBE, the Materials Project), the powder X-ray diffraction pattern of KAsO3 was simulated for a wavelength of 1.5418 Å.

Peak list (12 most intense, 10 to 80 degrees two-theta, in order of falling intensity)
15.3 deg, I 100
27.3 deg, I 100
25.7 deg, I 89
25.8 deg, I 52
30.2 deg, I 45
29.5 deg, I 34
30.0 deg, I 27
30.8 deg, I 27
14.9 deg, I 26
27.5 deg, I 25
29.9 deg, I 25
12.8 deg, I 23

Cell and atoms:
Unit cell a=7.656 b=7.656 c=10.516 alpha=68.69 beta=85.51 gamma=75.63
Space group P-1 (No. 2)
One atom of each set of equivalent atoms:
K (0.020, 0.198, 0.173) [2 per cell]
K (0.268, 0.740, 0.502) [2 per cell]
K (0.397, 0.595, 0.159) [2 per cell]
As (0.138, 0.318, 0.797) [2 per cell]
As (0.235, 0.226, 0.522) [2 per cell]
As (0.474, 0.968, 0.796) [2 per cell]
O (0.042, 0.683, 0.103) [2 per cell]
O (0.074, 0.300, 0.641) [2 per cell]
O (0.112, 0.158, 0.433) [2 per cell]
O (0.245, 0.496, 0.763) [2 per cell]
O (0.288, 0.084, 0.877) [2 per cell]
O (0.359, 0.917, 0.236) [2 per cell]
O (0.360, 0.387, 0.452) [2 per cell]
O (0.368, 0.999, 0.637) [2 per cell]
O (0.493, 0.266, 0.111) [2 per cell]

Record 6
Starting from a DFT-relaxed cell (PBE, the Materials Project), the powder X-ray diffraction pattern of HgSb2O6 was simulated for a wavelength of 1.5418 Å.

Peak list (12 most intense, 10 to 80 degrees two-theta, in order of falling intensity)
26.1 deg, I 100
33.4 deg, I 39
49.6 deg, I 39
42.9 deg, I 25
55.5 deg, I 25
59.8 deg, I 12
58.3 deg, I 10
76.4 deg, I 10
78.8 deg, I 9
35.5 deg, I 9
71.5 deg, I 8
68.9 deg, I 7

Cell and atoms:
Unit cell a=5.3585 b=5.3585 c=5.0530 alpha=90.00 beta=90.00 gamma=120.00
Space group P-31m (No. 162)
One atom of each set of equivalent atoms:
Hg (0.0000, 0.0000, 0.0000) [1 per cell]
Sb (0.3333, 0.6667, 0.5000) [2 per cell]
O (0.0000, 0.3710, 0.2816) [6 per cell]

Record 7
Starting from a DFT-relaxed cell (PBE, the Materials Project), the powder X-ray diffraction pattern of HoFe2B2 was simulated for a wavelength of 1.5418 Å.

Peak list (12 most intense, 10 to 80 degrees two-theta, in order of falling intensity)
40.4 deg, I 100
26.5 deg, I 94
38.3 deg, I 49
50.7 deg, I 29
38.7 deg, I 27
58.1 deg, I 22
65.5 deg, I 22
71.1 deg, I 20
65.2 deg, I 20
55.5 deg, I 13
78.5 deg, I 10
74.5 deg, I 9

Cell and atoms:
Unit cell a=3.603 b=3.603 c=9.318 alpha=90.00 beta=90.00 gamma=90.00
Space group I4/mmm (No. 139)
One atom of each set of equivalent atoms:
Ho (0.000, 0.000, 0.000) [2 per cell]
Fe (0.000, 0.500, 0.250) [4 per cell]
B (0.000, 0.000, 0.343) [4 per cell]

Record 8
Starting from a DFT-relaxed cell (PBE, the Materials Project), the powder X-ray diffraction pattern of Na2CeF6 was simulated for a wavelength of 1.5418 Å.

Peak list (12 most intense, 10 to 80 degrees two-theta, in order of falling intensity)
17.0 deg, I 100
29.1 deg, I 60
42.0 deg, I 46
52.2 deg, I 41
29.6 deg, I 30
38.1 deg, I 26
52.5 deg, I 20
51.3 deg, I 15
34.3 deg, I 13
45.9 deg, I 12
68.6 deg, I 10
73.9 deg, I 10

Cell and atoms:
Unit cell a=6.0359 b=6.0359 c=3.7885 alpha=90.00 beta=90.00 gamma=120.00
Space group P321 (No. 150)
One atom of each set of equivalent atoms:
Na (0.3333, 0.6667, 0.3968) [2 per cell]
Ce (0.0000, 0.0000, 0.0000) [1 per cell]
F (0.0000, 0.2516, 0.5000) [3 per cell]
F (0.0000, 0.6334, 0.0000) [3 per cell]

Record 9
Starting from a DFT-relaxed cell (PBE, the Materials Project), the powder X-ray diffraction pattern of Zr3Ni was simulated for a wavelength of 1.5418 Å.

Peak list (12 most intense, 10 to 80 degrees two-theta, in order of falling intensity)
38.9 deg, I 100
36.7 deg, I 27
34.1 deg, I 24
73.5 deg, I 19
67.6 deg, I 18
61.1 deg, I 16
51.0 deg, I 15
74.9 deg, I 13
24.9 deg, I 4
78.1 deg, I 3
71.9 deg, I 2
45.7 deg, I 1

Cell and atoms:
Unit cell a=6.0644 b=6.0644 c=4.8963 alpha=90.00 beta=90.00 gamma=120.00
Space group P6_3/mmc (No. 194)
One atom of each set of equivalent atoms:
Zr (0.1743, 0.3487, 0.2500) [6 per cell]
Ni (0.3333, 0.6667, 0.7500) [2 per cell]

Record 10
Starting from a DFT-relaxed cell (PBE, the Materials Project), the powder X-ray diffraction pattern of MgCu2Rh4S8 was simulated for a wavelength of 1.5418 Å.

Peak list (12 most intense, 10 to 80 degrees two-theta, in order of falling intensity)
28.6 deg, I 100
49.8 deg, I 86
14.8 deg, I 51
45.5 deg, I 50
34.7 deg, I 49
24.3 deg, I 30
69.8 deg, I 21
73.1 deg, I 12
42.8 deg, I 11
58.5 deg, I 11
37.9 deg, I 10
62.1 deg, I 9

Cell and atoms:
Unit cell a=7.319 b=7.319 c=10.349 alpha=90.00 beta=90.00 gamma=90.00
Space group Imm2 (No. 44)
One atom of each set of equivalent atoms:
Mg (0.000, 0.000, 0.000) [2 per cell]
Cu (0.000, 0.000, 0.499) [2 per cell]
Cu (0.000, 0.500, 0.250) [2 per cell]
Rh (0.000, 0.268, 0.865) [4 per cell]
Rh (0.231, 0.500, 0.634) [4 per cell]
S (0.000, 0.251, 0.124) [4 per cell]
S (0.000, 0.278, 0.639) [4 per cell]
S (0.221, 0.500, 0.860) [4 per cell]
S (0.250, 0.000, 0.874) [4 per cell]